# 1
Theoretical powder diffraction line list of Pm3In3Ru2 for Cu Kα, 1.54184 Å, from DFT lattice parameters and positions (GGA-PBE).

Most intense lines, 10° ≤ 2θ ≤ 90°, most intense first:
2θ 32.00, I 100
2θ 38.41, I 68
2θ 35.57, I 57
2θ 35.06, I 54
2θ 29.02, I 47
2θ 33.21, I 40
2θ 52.97, I 33
2θ 32.57, I 27
2θ 60.37, I 19
2θ 85.69, I 16

Atomic structure:
```
8
Lattice="8.351 -2.344 0.000 8.351 2.344 0.000 -0.811 0.000 5.119" Properties=species:S:1:pos:R:3 pbc="T T T"
Pm 0.000 0.000 0.000
Pm 2.333 0.000 2.940
Pm 13.558 0.000 2.178
In 5.396 0.000 4.774
In 7.945 0.000 2.559
In 10.495 0.000 0.345
Ru 3.541 0.000 0.464
Ru 12.350 0.000 4.654
```

# 2
Theoretical powder diffraction line list of Pm6In3Ru for Cu Kα, 1.54184 Å, from DFT lattice parameters and positions (GGA-PBE).

Most intense lines, 10° ≤ 2θ ≤ 90°, most intense first:
2θ 33.25, I 100
2θ 33.00, I 47
2θ 31.10, I 15
2θ 32.47, I 15
2θ 47.12, I 12
2θ 59.36, I 11
2θ 36.59, I 11
2θ 59.61, I 10
2θ 59.17, I 10
2θ 33.78, I 9

Atomic structure:
```
20
Lattice="9.425 0.000 0.000 0.000 5.399 0.000 -3.490 0.000 11.083" Properties=species:S:1:pos:R:3 pbc="T T T"
Pm -1.057 1.350 4.602
Pm 1.223 4.049 1.828
Pm 2.674 1.350 0.023
Pm 0.418 4.049 9.174
Pm 2.325 1.350 3.876
Pm 1.507 1.350 7.146
Pm 4.429 4.049 3.937
Pm 3.611 4.049 7.207
Pm 5.517 1.350 1.909
Pm 3.262 4.049 11.060
Pm 4.713 1.350 9.255
Pm 6.993 4.049 6.481
In -2.951 4.049 9.727
In -1.638 1.350 7.971
In 0.895 4.049 5.252
In 5.041 1.350 5.831
In 7.574 4.049 3.112
In 8.887 1.350 1.356
Ru 4.036 4.049 1.047
Ru 1.900 1.350 10.036
```

# 3
Theoretical powder diffraction line list of PmInRu for Cu Kα, 1.54184 Å, from DFT lattice parameters and positions (GGA-PBE).

Most intense lines, 10° ≤ 2θ ≤ 90°, most intense first:
2θ 37.37, I 100
2θ 32.59, I 97
2θ 30.72, I 72
2θ 33.31, I 71
2θ 44.00, I 50
2θ 41.99, I 48
2θ 43.44, I 33
2θ 56.28, I 31
2θ 60.49, I 24
2θ 63.54, I 21

Atomic structure:
```
6
Lattice="-2.058 3.078 5.535 2.058 -3.078 5.535 2.058 3.078 -5.535" Properties=species:S:1:pos:R:3 pbc="T T T"
Pm 0.000 0.000 2.365
Pm 0.000 0.000 8.704
In 2.058 1.531 0.000
In 0.000 1.546 5.535
Ru 2.058 0.000 4.287
Ru 0.000 3.078 1.247
```

# 4
Theoretical powder diffraction line list of PmIn3S6 for Cu Kα, 1.54184 Å, from DFT lattice parameters and positions (GGA-PBE).

Most intense lines, 10° ≤ 2θ ≤ 90°, most intense first:
2θ 23.54, I 100
2θ 34.35, I 83
2θ 31.66, I 78
2θ 24.36, I 74
2θ 46.34, I 67
2θ 41.63, I 52
2θ 35.00, I 49
2θ 28.05, I 48
2θ 46.02, I 41
2θ 26.89, I 36

Atomic structure:
```
20
Lattice="10.980 0.000 0.000 0.000 3.917 0.000 -4.272 0.000 10.508" Properties=species:S:1:pos:R:3 pbc="T T T"
Pm 2.020 0.979 0.565
Pm 4.689 2.938 9.943
In -1.059 2.938 3.111
In 1.774 0.979 4.645
In 0.865 2.938 8.729
In 5.843 0.979 1.779
In 4.934 2.938 5.863
In 7.767 0.979 7.397
S -3.433 2.938 9.423
S -0.791 0.979 4.746
S -0.781 0.979 8.384
S 1.536 2.938 2.723
S 4.230 2.938 0.763
S 2.244 2.938 6.349
S 4.464 0.979 4.159
S 2.478 0.979 9.745
S 5.172 0.979 7.785
S 7.489 2.938 2.124
S 7.499 2.938 5.762
S 10.141 0.979 1.085
```

# 5
Theoretical powder diffraction line list of Pm5In2Sb for Cu Kα, 1.54184 Å, from DFT lattice parameters and positions (GGA-PBE).

Most intense lines, 10° ≤ 2θ ≤ 90°, most intense first:
2θ 30.94, I 100
2θ 32.86, I 52
2θ 61.73, I 22
2θ 34.38, I 17
2θ 48.26, I 13
2θ 29.31, I 10
2θ 53.77, I 9
2θ 53.04, I 8
2θ 47.16, I 8
2θ 41.32, I 8

Atomic structure:
```
16
Lattice="-4.309 4.309 6.555 4.309 -4.309 6.555 4.309 4.309 -6.555" Properties=species:S:1:pos:R:3 pbc="T T T"
Pm 0.000 0.000 0.000
Pm 5.692 1.383 -1.988
Pm 1.383 2.926 -1.988
Pm 5.692 1.383 1.988
Pm 1.383 2.926 1.988
Pm 0.000 0.000 6.555
Pm 2.926 1.383 4.568
Pm -1.383 2.926 4.568
Pm 2.926 1.383 8.543
Pm -1.383 2.926 8.543
In 3.128 1.181 0.000
In 3.128 -1.181 6.555
In 1.181 5.491 0.000
In 1.181 3.128 6.555
Sb 0.000 0.000 3.278
Sb 0.000 0.000 9.833
```

# 6
Theoretical powder diffraction line list of PmInSb for Cu Kα, 1.54184 Å, from DFT lattice parameters and positions (GGA-PBE).

Most intense lines, 10° ≤ 2θ ≤ 90°, most intense first:
2θ 33.73, I 100
2θ 32.36, I 78
2θ 20.64, I 31
2θ 59.46, I 27
2θ 47.43, I 27
2θ 48.11, I 25
2θ 60.32, I 18
2θ 40.64, I 13
2θ 67.89, I 13
2θ 33.27, I 12

Atomic structure:
```
6
Lattice="2.658 1.534 8.078 -2.658 1.534 8.078 0.000 -3.069 8.078" Properties=species:S:1:pos:R:3 pbc="T T T"
Pm 0.000 0.000 5.426
Pm 0.000 0.000 18.808
In 0.000 0.000 8.688
In 0.000 0.000 15.546
Sb 0.000 0.000 2.248
Sb 0.000 0.000 21.986
```

# 7
Theoretical powder diffraction line list of Pm5ScIn4 for Cu Kα, 1.54184 Å, from DFT lattice parameters and positions (GGA-PBE).

Most intense lines, 10° ≤ 2θ ≤ 90°, most intense first:
2θ 31.78, I 100
2θ 32.37, I 95
2θ 35.56, I 74
2θ 54.85, I 42
2θ 61.15, I 30
2θ 62.22, I 28
2θ 40.34, I 26
2θ 50.36, I 14
2θ 51.97, I 12
2θ 66.41, I 12

Atomic structure:
```
10
Lattice="3.624 0.000 0.000 0.000 4.472 0.000 0.000 0.000 17.596" Properties=species:S:1:pos:R:3 pbc="T T T"
Pm 0.000 0.000 0.000
Pm 0.000 0.000 3.523
Pm 0.000 0.000 7.008
Pm 0.000 0.000 10.587
Pm 0.000 0.000 14.073
Sc 1.812 2.236 8.798
In 1.812 2.236 1.746
In 1.812 2.236 5.340
In 1.812 2.236 12.256
In 1.812 2.236 15.850
```

# 8
Theoretical powder diffraction line list of PmTmSc2In4 for Cu Kα, 1.54184 Å, from DFT lattice parameters and positions (GGA-PBE).

Most intense lines, 10° ≤ 2θ ≤ 90°, most intense first:
2θ 34.47, I 100
2θ 61.80, I 27
2θ 49.55, I 17
2θ 20.91, I 15
2θ 61.63, I 9
2θ 83.06, I 8
2θ 82.92, I 8
2θ 40.65, I 6
2θ 72.78, I 5
2θ 72.59, I 5

Atomic structure:
```
8
Lattice="2.599 1.500 8.517 -2.599 1.500 8.517 0.000 -3.001 8.517" Properties=species:S:1:pos:R:3 pbc="T T T"
Pm 0.000 0.000 0.000
Tm 0.000 0.000 12.775
Sc 0.000 0.000 6.375
Sc 0.000 0.000 19.176
In 0.000 0.000 3.237
In 0.000 0.000 9.631
In 0.000 0.000 15.919
In 0.000 0.000 22.314
```